(1)
Structure and theoretical powder diffraction line list of K3GaTe2O11 (a cell relaxed with PBE; a wavelength of 1.5418 Å).
Lines closer than 0.1° are merged.

Cell and atoms:
Cell: 7.3492 7.3960 11.4816 Å, 77.35 81.65 61.13°
Space group P-1 (No. 2)
Symmetry-distinct sites (fractional):
1 K 0.0805 0.4979 0.1652 x2
2 K 0.0836 0.8337 0.3823 x2
3 K 0.3688 0.5671 0.8338 x2
4 Ga 0.4536 0.0519 0.7491 x2
5 Te 0.2859 0.9914 0.0267 x2
6 Te 0.3858 0.2431 0.4626 x2
7 O 0.0158 0.2055 0.0691 x2
8 O 0.1017 0.4375 0.4185 x2
9 O 0.1246 0.6958 0.6303 x2
10 O 0.2305 0.0841 0.8581 x2
11 O 0.2411 0.7518 0.0413 x2
12 O 0.3202 0.2739 0.6278 x2
13 O 0.3286 0.9936 0.4969 x2
14 O 0.3499 0.8981 0.1965 x2
15 O 0.4064 0.1914 0.0176 x2
16 O 0.4383 0.2131 0.2927 x2
17 O 0.4850 0.4499 0.4174 x2

Main lines, in order of falling intensity (2θ from 10° to 80°):
| d_spacing | intensity | index |
| --- | --- | --- |
| 6.429 | 100 | 1 0 0 |
| 6.204 | 86 | 1 1 0 |
| 3.217 | 84 | 0 2 1 |
| 6.380 | 82 | 0 1 0 |
| 5.595 | 64 | 0 0 2 |
| 3.621 | 63 | 2 1 1 |
| 3.312 | 59 | 2 1 -1 |
| 2.781 | 47 | 1 1 4 |
| 3.165 | 45 | 1 0 -3 |
| 3.004 | 45 | 0 1 -3 |

---

(2)
Structure and theoretical powder diffraction line list of Sr3Ga3N5 (a cell relaxed with PBE; a wavelength of 1.5418 Å).
Lines closer than 0.1° are merged.

Cell and atoms:
Cell: 6.0001 7.2785 8.7608 Å, 108.39 103.66 95.44°
Space group P-1 (No. 2)
Symmetry-distinct sites (fractional):
1 Sr 0.1569 0.1559 0.2027 x2
2 Sr 0.1676 0.3621 0.8736 x2
3 Sr 0.3169 0.9116 0.6077 x2
4 Ga 0.2098 0.4550 0.5685 x2
5 Ga 0.3778 0.6227 0.2840 x2
6 Ga 0.4084 0.8159 0.9734 x2
7 N 0.1141 0.5534 0.3820 x2
8 N 0.2429 0.7230 0.1093 x2
9 N 0.2647 0.0257 0.9048 x2
10 N 0.3377 0.2116 0.5258 x2
11 N 0.4562 0.6080 0.7784 x2

Main lines, in order of falling intensity (2θ from 10° to 80°):
| d_spacing | intensity | index |
| --- | --- | --- |
| 2.791 | 100 | 0 2 1 |
| 2.723 | 77 | 1 0 -3 |
| 2.854 | 62 | 1 2 -2 |
| 3.095 | 38 | 1 -1 2 |
| 2.833 | 32 | 2 -1 0 |
| 2.195 | 29 | 1 -3 2 |
| 2.341 | 25 | 1 -1 3 |
| 2.482 | 21 | 2 1 0 |
| 2.866 | 16 | 2 0 0 |
| 1.857 | 15 | -2 3 1 |

---

(3)
Structure and theoretical powder diffraction line list of TiIn4N4 (a cell relaxed with PBE; a wavelength of 1.5418 Å).
Lines closer than 0.1° are merged.

Cell and atoms:
Cell: 6.1610 6.3095 8.9931 Å, 94.44 101.77 117.98°
Space group P-1 (No. 2)
Symmetry-distinct sites (fractional):
1 Ti 0.0897 0.3435 0.2407 x2
2 In 0.0458 0.8160 0.1350 x2
3 In 0.2331 0.9343 0.5246 x2
4 In 0.3377 0.5550 0.6378 x2
5 In 0.4454 0.2230 0.9574 x2
6 N 0.0719 0.6177 0.3201 x2
7 N 0.1808 0.2371 0.4414 x2
8 N 0.2188 0.8084 0.9464 x2
9 N 0.3882 0.4402 0.1574 x2

Main lines, in order of falling intensity (2θ from 10° to 80°):
| d_spacing | intensity | index |
| --- | --- | --- |
| 2.719 | 100 | 2 0 -1 |
| 3.095 | 97 | 0 1 2 |
| 2.767 | 89 | 0 2 -1 |
| 2.662 | 77 | 2 -2 0 |
| 2.872 | 64 | 1 0 -3 |
| 2.784 | 47 | 0 1 -3 |
| 2.264 | 47 | 2 -1 2 |
| 2.956 | 37 | 1 0 2 |
| 2.464 | 35 | -1 2 2 |
| 1.840 | 32 | 2 1 1 |

---

(4)
Structure and theoretical powder diffraction line list of RbAuBr3 (a cell relaxed with PBE; a wavelength of 1.5418 Å).
Lines closer than 0.1° are merged.

Cell and atoms:
Cell: 5.4370 5.4370 5.4370 Å, 90.00 90.00 90.00°
Space group Pm-3m (No. 221)
Symmetry-distinct sites (fractional):
1 Rb 0.0000 0.0000 0.0000 x1
2 Au 0.5000 0.5000 0.5000 x1
3 Br 0.0000 0.5000 0.5000 x3

Main lines, in order of falling intensity (2θ from 10° to 80°):
| d_spacing | intensity | index |
| --- | --- | --- |
| 2.718 | 100 | 2 0 0 |
| 1.922 | 72 | 2 2 0 |
| 5.437 | 71 | 1 0 0 |
| 3.845 | 69 | 1 1 0 |
| 2.431 | 39 | 2 1 0 |
| 2.220 | 33 | 2 1 1 |
| 1.216 | 33 | 4 2 0 |
| 1.570 | 25 | 2 2 2 |
| 1.812 | 21 | 3 0 0 |
| 1.453 | 18 | 3 2 1 |

---

(5)
Structure and theoretical powder diffraction line list of TlIn3 (a cell relaxed with PBE; a wavelength of 1.5418 Å).
Lines closer than 0.1° are merged.

Cell and atoms:
Cell: 6.8289 6.8289 5.7834 Å, 90.00 90.00 120.00°
Space group P6_3/mmc (No. 194)
Symmetry-distinct sites (fractional):
1 Tl 0.3333 0.6667 0.2500 x2
2 In 0.1636 0.3272 0.7500 x6

Main lines, in order of falling intensity (2θ from 10° to 80°):
| d_spacing | intensity | index |
| --- | --- | --- |
| 2.633 | 100 | 2 0 1 |
| 2.892 | 29 | 0 0 2 |
| 2.957 | 23 | 2 0 0 |
| 1.615 | 22 | 2 0 3 |
| 1.470 | 22 | 2 2 2 |
| 1.707 | 18 | 2 2 0 |
| 2.067 | 16 | 2 0 2 |
| 1.432 | 15 | 4 0 1 |
| 4.135 | 8 | 1 0 1 |
| 1.316 | 4 | 4 0 2 |

---

(6)
Structure and theoretical powder diffraction line list of K3MoI6 (a cell relaxed with PBE; a wavelength of 1.5418 Å).
Lines closer than 0.1° are merged.

Cell and atoms:
Cell: 12.2992 12.2992 12.2992 Å, 90.00 90.00 90.00°
Space group Fm-3m (No. 225)
Symmetry-distinct sites (fractional):
1 K 0.0000 0.0000 0.0000 x4
2 K 0.2500 0.2500 0.2500 x8
3 Mo 0.0000 0.0000 0.5000 x4
4 I 0.0000 0.0000 0.2717 x24

Main lines, in order of falling intensity (2θ from 10° to 80°):
| d_spacing | intensity | index |
| --- | --- | --- |
| 3.075 | 100 | 4 0 0 |
| 3.550 | 98 | 2 2 2 |
| 2.174 | 68 | 4 4 0 |
| 6.150 | 61 | 2 0 0 |
| 1.854 | 37 | 6 2 2 |
| 7.101 | 28 | 1 1 1 |
| 2.750 | 26 | 4 2 0 |
| 1.375 | 24 | 8 4 0 |
| 1.775 | 22 | 4 4 4 |
| 2.367 | 22 | 5 1 1 |